Diffraction record for Nd2CoBrClO2. The powder diffractogram is calculated, not measured: it uses the GGA+U geometry in OQMD and Cu Kα (weighted mean of Kα1 and Kα2).

Cell and atoms:
abc: 4.0152 4.0152 15.8562
angles: 90.00 90.00 90.00
Space group I4mm (No. 107)
Symmetry-distinct sites (fractional):
Nd 0.0000 0.0000 0.0000 (multiplicity 2)
Nd 0.0000 0.0000 0.1901 (multiplicity 2)
Co 0.0000 0.0000 0.5962 (multiplicity 2)
Br 0.0000 0.0000 0.7833 (multiplicity 2)
Cl 0.0000 0.0000 0.4208 (multiplicity 2)
O 0.0000 0.5000 0.0936 (multiplicity 4)

The 10 most intense peaks (10° ≤ 2θ ≤ 90°), by intensity:
2θ (°), I_rel, index
36.09, 100, 1 0 5
31.51, 68, 1 1 0
59.12, 46, 2 1 5
11.16, 33, 0 0 2
45.16, 32, 2 0 0
22.85, 29, 1 0 1
39.02, 15, 1 1 4
74.77, 11, 3 1 0
67.68, 11, 1 1 10
77.39, 10, 3 0 5